# LiMnVP2H2O10
Theoretical powder diffractogram, CuKα. Input: a cell relaxed with GGA+U.

Structure:
Unit cell a=5.339 b=7.345 c=10.455 alpha=106.73 beta=95.04 gamma=110.55
Fractional coordinates of all 34 atoms:
Li1 0.155 0.065 0.217
Li2 0.845 0.935 0.783
Mn1 0.247 0.742 0.747
Mn2 0.753 0.258 0.253
V1 0.000 0.500 0.000
V2 0.500 0.000 0.500
P1 0.149 0.295 0.527
P2 0.345 0.199 0.974
P3 0.655 0.801 0.026
P4 0.851 0.705 0.473
H1 0.064 0.597 0.257
H2 0.465 0.904 0.246
H3 0.535 0.096 0.754
H4 0.936 0.403 0.743
O1 0.009 0.536 0.821
O2 0.079 0.237 0.373
O3 0.111 0.796 0.415
O4 0.122 0.277 0.933
O5 0.211 0.964 0.890
O6 0.277 0.531 0.599
O7 0.364 0.207 0.564
O8 0.390 0.700 0.076
O9 0.399 0.235 0.126
O10 0.489 0.037 0.314
O11 0.511 0.963 0.686
O12 0.601 0.765 0.874
O13 0.610 0.300 0.924
O14 0.636 0.793 0.436
O15 0.723 0.469 0.401
O16 0.789 0.036 0.110
O17 0.878 0.723 0.067
O18 0.889 0.204 0.585
O19 0.921 0.763 0.627
O20 0.991 0.464 0.179

Principal peaks in the range 15 to 90 degrees two-theta, in order of falling intensity:
2θ/deg	I (rel.)	h k l
26.04	1000	0 1 -3
27.24	991	1 1 -2
29.75	750	-1 2 1
18.86	555	0 1 1
17.92	493	1 -1 0
18.13	476	0 0 2
24.96	383	1 -1 2
35.77	375	2 -1 1
21.97	318	1 0 1
36.77	278	1 2 -1